Record 1
Starting from a PBE-relaxed structure, the powder diffraction line list of Mg14ZnC was simulated for λ = 1.5418 Å (Cu Kα).

Cell and atoms:
Cell lengths 6.1738, 6.1738, 9.9597 Å; angles 90.00, 90.00, 120.00 degrees
Space group P-6m2 (No. 187)
Unique sites:
Mg1 0.0000 0.0000 0.2476 x2
Mg2 0.0113 0.5056 0.2562 x6
Mg3 0.3302 0.1651 0.5000 x3
Mg4 0.3345 0.1672 0.0000 x3
Zn1 0.3333 0.6667 0.0000 x1
C1 0.3333 0.6667 0.5000 x1

Main lines, in order of rising 2θ (10° ≤ 2θ ≤ 90°):
2θ = 18.84°, d = 4.711 Å, rel. 13.5
2θ = 33.52°, d = 2.673 Å, rel. 24.5
2θ = 36.07°, d = 2.490 Å, rel. 26.1
2θ = 38.21°, d = 2.355 Å, rel. 100.0
2θ = 50.06°, d = 1.822 Å, rel. 14.9
2θ = 59.93°, d = 1.543 Å, rel. 16.6
2θ = 66.28°, d = 1.410 Å, rel. 17.7
2θ = 71.98°, d = 1.312 Å, rel. 18.2


Record 2
Starting from a PBE-relaxed structure, the powder diffraction line list of Nb2Cd2O7 was simulated for λ = 1.5418 Å (Cu Kα).

Cell and atoms:
Cell lengths 10.5618, 10.5618, 10.5618 Å; angles 90.00, 90.00, 90.00 degrees
Space group Fd-3m (No. 227, origin choice 2)
Unique sites:
Nb1 0.0000 0.0000 0.0000 x16
Cd1 0.0000 0.0000 0.5000 x16
O1 0.0676 0.3750 0.3750 x48
O2 0.1250 0.1250 0.6250 x8

Main lines, in order of rising 2θ (10° ≤ 2θ ≤ 90°):
2θ = 29.29°, d = 3.049 Å, rel. 100.0
2θ = 33.95°, d = 2.640 Å, rel. 31.5
2θ = 48.77°, d = 1.867 Å, rel. 44.6
2θ = 57.92°, d = 1.592 Å, rel. 41.3
2θ = 60.76°, d = 1.524 Å, rel. 10.5
2θ = 71.46°, d = 1.320 Å, rel. 6.4
2θ = 79.04°, d = 1.212 Å, rel. 16.3
2θ = 81.51°, d = 1.181 Å, rel. 14.0


Record 3
Starting from a PBE-relaxed structure, the powder diffraction line list of SrLaI5 was simulated for λ = 1.5418 Å (Cu Kα).

Cell and atoms:
Cell lengths 8.6991, 4.6145, 15.2202 Å; angles 90.00, 92.78, 90.00 degrees
Space group P2_1/m (No. 11)
Unique sites:
Sr1 0.0473 0.2500 0.3541 x2
La1 0.4469 0.7500 0.1591 x2
I1 0.1719 0.2500 0.1208 x2
I2 0.1806 0.2500 0.7372 x2
I3 0.2012 0.7500 0.4822 x2
I4 0.3494 0.7500 0.9352 x2
I5 0.4517 0.2500 0.3145 x2

Main lines, in order of rising 2θ (10° ≤ 2θ ≤ 90°):
2θ = 11.97°, d = 7.391 Å, rel. 36.3
2θ = 24.55°, d = 3.626 Å, rel. 100.0
2θ = 26.10°, d = 3.414 Å, rel. 38.4
2θ = 26.37°, d = 3.380 Å, rel. 52.6
2θ = 29.04°, d = 3.075 Å, rel. 46.8
2θ = 30.47°, d = 2.934 Å, rel. 54.1
2θ = 31.00°, d = 2.885 Å, rel. 55.2
2θ = 39.04°, d = 2.307 Å, rel. 51.9


Record 4
Starting from a PBE-relaxed structure, the powder diffraction line list of BaSrHfNbO6 was simulated for λ = 1.5418 Å (Cu Kα).

Cell and atoms:
Cell lengths 8.2975, 8.2975, 8.2975 Å; angles 90.00, 90.00, 90.00 degrees
Space group F-43m (No. 216)
Unique sites:
Ba1 0.0000 0.0000 0.0000 x4
Sr1 0.0000 0.0000 0.5000 x4
Hf1 0.2500 0.2500 0.7500 x4
Nb1 0.2500 0.2500 0.2500 x4
O1 0.0017 0.2500 0.2500 x24

Main lines, in order of rising 2θ (10° ≤ 2θ ≤ 90°):
2θ = 18.52°, d = 4.791 Å, rel. 8.2
2θ = 30.47°, d = 2.934 Å, rel. 100.0
2θ = 43.63°, d = 2.074 Å, rel. 30.4
2θ = 54.15°, d = 1.694 Å, rel. 40.3
2θ = 63.41°, d = 1.467 Å, rel. 18.9
2θ = 71.98°, d = 1.312 Å, rel. 17.6
2θ = 80.14°, d = 1.198 Å, rel. 6.3
2θ = 88.10°, d = 1.109 Å, rel. 21.6